This entry pairs a crystal structure of Fe3Co5 with its theoretical X-ray diffraction stick pattern. Radiation: Cu Kα X-rays. Structure: a structure optimized by DFT (GGA-PBE).

```
8
Lattice="2.456 0.000 0.000 0.828 6.052 0.000 0.556 0.759 6.083" Properties=species:S:1:pos:R:3 pbc="T T T"
Fe 0.000 0.000 0.000
Fe 1.397 2.919 5.312
Fe 2.442 3.891 0.771
Co 0.692 3.405 3.041
Co 1.613 5.610 2.276
Co 2.184 5.082 4.580
Co 1.655 1.728 1.503
Co 2.226 1.201 3.807
```

The 10 most intense peaks (2θ = 10–90°), sorted by position:
44.9 deg, d 2.021, I = 51; 45.0 deg, d 2.015, I = 100; 45.4 deg, d 1.997, I = 49; 45.9 deg, d 1.975, I = 47; 46.1 deg, d 1.968, I = 46; 64.1 deg, d 1.453, I = 16; 66.7 deg, d 1.403, I = 14; 82.2 deg, d 1.173, I = 14; 84.1 deg, d 1.151, I = 14; 84.5 deg, d 1.146, I = 14